# 1
Starting from DFT lattice parameters and positions (PBE), the X-ray diffraction stick pattern of Ga was simulated for CuKα.

Atomic structure:
Cell lengths 4.1169, 4.6621, 7.9212 Å; angles 90.00, 90.00, 90.00 degrees
Space group Cmce (No. 64)
Symmetry-distinct sites (fractional):
Ga1 0.0000 0.2187 0.1269

Main lines, most intense first (10 to 90 degrees two-theta):
2theta	Rel. int.	index
36.9	100	1 1 2
38.6	20	0 2 0
44.0	16	2 0 0
45.8	14	0 0 4
76.2	11	3 1 2
68.8	11	1 3 2
60.0	10	2 2 0
78.9	10	1 1 6

***

# 2
Starting from DFT lattice parameters and positions (PBE), the X-ray diffraction stick pattern of Er2MgIn was simulated for CuKα.

Atomic structure:
Cell lengths 7.4569, 7.4569, 7.4569 Å; angles 90.00, 90.00, 90.00 degrees
Space group Fm-3m (No. 225)
Symmetry-distinct sites (fractional):
Er1 0.2500 0.2500 0.2500
Mg1 0.0000 0.0000 0.0000
In1 0.0000 0.0000 0.5000

Main lines, most intense first (10 to 90 degrees two-theta):
2theta	Rel. int.	index
34.0	100	2 2 0
60.9	37	4 2 2
23.9	19	2 0 0
48.9	18	4 0 0
81.7	16	6 2 0
71.6	11	4 4 0
20.6	9	1 1 1
55.1	8	4 2 0

***

# 3
Starting from DFT lattice parameters and positions (PBE), the X-ray diffraction stick pattern of KPO4 was simulated for CuKα.

Atomic structure:
Cell lengths 8.2745, 8.2745, 6.9782 Å; angles 90.00, 90.00, 90.00 degrees
Space group I-42d (No. 122)
Symmetry-distinct sites (fractional):
K1 0.0000 0.0000 0.0000
P1 0.0000 0.0000 0.5000
O1 0.0688 0.1190 0.6522

Main lines, most intense first (10 to 90 degrees two-theta):
2theta	Rel. int.	index
21.5	100	2 0 0
43.2	37	3 1 2
29.8	31	1 1 2
30.6	23	2 2 0
16.6	17	1 0 1
63.2	11	5 1 2
53.9	10	3 3 2
27.3	10	2 1 1

***

# 4
Starting from DFT lattice parameters and positions (PBE), the X-ray diffraction stick pattern of Cu3O4 was simulated for CuKα.

Atomic structure:
Cell lengths 7.0449, 7.4063, 6.0987 Å; angles 90.00, 90.00, 90.00 degrees
Space group Ibam (No. 72)
Symmetry-distinct sites (fractional):
Cu1 0.0000 0.0000 0.0000
Cu2 0.2500 0.2500 0.2500
O1 0.0910 0.2555 0.0000
O2 0.1871 0.0000 0.2500

Main lines, most intense first (10 to 90 degrees two-theta):
2theta	Rel. int.	index
39.1	100	2 0 2
17.4	89	1 1 0
35.2	66	2 2 0
64.6	39	2 4 2
38.2	37	0 2 2
49.2	36	0 4 0
66.3	34	4 2 2
60.7	18	0 0 4